This entry pairs a crystal structure of LiVSiO4 with its computed X-ray diffraction stick pattern. Radiation: Cu Ka. Structure: DFT lattice parameters and positions (PBE+U).
Neutral-atom scattering factors, no anomalous dispersion.

Atomic structure:
```
data_LiVSiO4
_cell_length_a 10.4318
_cell_length_b 5.8102
_cell_length_c 4.7916
_cell_angle_alpha 90.00
_cell_angle_beta 90.00
_cell_angle_gamma 90.00
_symmetry_space_group_name_H-M 'P n m a'
_symmetry_Int_Tables_number 62
loop_
_symmetry_equiv_pos_as_xyz
'x,y,z'
'-x,-y,-z'
'-x+1/2,-y,z+1/2'
'x+1/2,y,-z+1/2'
'x+1/2,-y+1/2,-z+1/2'
'-x+1/2,y+1/2,z+1/2'
'-x,y+1/2,-z'
'x,-y+1/2,z'
loop_
_atom_site_label
_atom_site_fract_x
_atom_site_fract_y
_atom_site_fract_z
Li1 0.0000 0.0000 0.0000
V1 0.2265 0.2500 0.4988
Si1 0.0927 0.7500 0.4457
O1 0.0505 0.2500 0.6897
O2 0.0995 0.7500 0.7822
O3 0.1741 0.5352 0.2898
```

Most intense lines, 2θ from 10° to 80°, sorted by position:
2θ (°)	d_spacing	intensity	(hkl)
17.00	5.216	42	2 0 0
20.40	4.354	58	1 0 1
22.91	3.881	25	2 1 0
25.57	3.484	83	1 1 1
30.78	2.905	55	0 2 0
35.44	2.533	100	3 1 1
37.21	2.417	26	1 2 1
52.53	1.742	37	2 2 2
62.23	1.492	26	6 2 0
66.40	1.408	26	3 1 3